Entry 1:
For CsW3Cl9, a crystal structure in the Materials Project, relaxed with PBE gives the computed PXRD pattern in this record (Cu Kα, 1.54184 Å).

Principal peaks in the range 2θ = 10–90°, in order of rising 2θ:
two_theta	Rel. int.
10.15	33
10.39	100
14.54	72
34.66	45
38.08	16
42.22	19

Structural model:
```
CsW3Cl9
1.0
9.8290 0.0000 0.0000
-4.9145 8.5122 0.0000
0.0000 0.0000 8.7166
Cs W Cl
2 6 18
Direct
0.3333 0.6667 0.0810 Cs
0.6667 0.3333 0.9190 Cs
0.0262 0.8399 0.6256 W
0.1601 0.1863 0.6256 W
0.1863 0.0262 0.3744 W
0.8137 0.9738 0.6256 W
0.8399 0.8137 0.3744 W
0.9738 0.1601 0.3744 W
0.0294 0.8204 0.1920 Cl
0.0539 0.6523 0.7972 Cl
0.1533 0.4026 0.5020 Cl
0.1796 0.2090 0.1920 Cl
0.2090 0.0294 0.8080 Cl
0.2493 0.8467 0.5020 Cl
0.3477 0.4017 0.7972 Cl
0.4017 0.0539 0.2028 Cl
0.4026 0.2493 0.4980 Cl
0.5974 0.7507 0.5020 Cl
0.5983 0.9461 0.7972 Cl
0.6523 0.5983 0.2028 Cl
0.7507 0.1533 0.4980 Cl
0.7910 0.9706 0.1920 Cl
0.8204 0.7910 0.8080 Cl
0.8467 0.5974 0.4980 Cl
0.9461 0.3477 0.2028 Cl
0.9706 0.1796 0.8080 Cl
```

Entry 2:
For Cs2WCl6, a crystal structure in the Materials Project, relaxed with PBE gives the computed PXRD pattern in this record (Cu Kα, 1.54184 Å).

Principal peaks in the range 2θ = 10–90°, in order of rising 2θ:
two_theta	Rel. int.
14.48	70
23.75	100
27.93	28
33.84	61
41.76	44
48.61	40

Structural model:
```
Cs2WCl6
1.0
0.0000 5.2977 5.2977
5.2977 0.0000 5.2977
5.2977 5.2977 0.0000
Cs W Cl
2 1 6
Direct
0.2500 0.2500 0.2500 Cs
0.7500 0.7500 0.7500 Cs
0.0000 0.0000 0.0000 W
0.2266 0.2266 0.7734 Cl
0.2266 0.7734 0.2266 Cl
0.2266 0.7734 0.7734 Cl
0.7734 0.2266 0.2266 Cl
0.7734 0.2266 0.7734 Cl
0.7734 0.7734 0.2266 Cl
```

Entry 3:
For Cs3W2Cl9, a crystal structure in the Materials Project, relaxed with PBE gives the computed PXRD pattern in this record (Cu Kα, 1.54184 Å).

Principal peaks in the range 2θ = 10–90°, in order of rising 2θ:
two_theta	Rel. int.
13.53	36
14.38	82
23.55	100
28.04	47
31.06	46
48.18	37

Structural model:
```
Cs3W2Cl9
1.0
7.5549 0.0000 0.0000
-3.7774 6.5427 0.0000
0.0000 0.0000 18.2101
Cs W Cl
6 4 18
Direct
0.0000 0.0000 0.2500 Cs
0.0000 0.0000 0.7500 Cs
0.3333 0.6667 0.0723 Cs
0.3333 0.6667 0.4277 Cs
0.6667 0.3333 0.5723 Cs
0.6667 0.3333 0.9277 Cs
0.3333 0.6667 0.6737 W
0.3333 0.6667 0.8263 W
0.6667 0.3333 0.1737 W
0.6667 0.3333 0.3263 W
0.0161 0.5080 0.7500 Cl
0.1819 0.3638 0.5979 Cl
0.1819 0.3638 0.9021 Cl
0.1819 0.8181 0.5979 Cl
0.1819 0.8181 0.9021 Cl
0.3638 0.1819 0.0979 Cl
0.3638 0.1819 0.4021 Cl
0.4920 0.5080 0.7500 Cl
0.4920 0.9839 0.7500 Cl
0.5080 0.0161 0.2500 Cl
0.5080 0.4920 0.2500 Cl
0.6362 0.8181 0.5979 Cl
0.6362 0.8181 0.9021 Cl
0.8181 0.1819 0.0979 Cl
0.8181 0.1819 0.4021 Cl
0.8181 0.6362 0.0979 Cl
0.8181 0.6362 0.4021 Cl
0.9839 0.4920 0.2500 Cl
```

Entry 4:
For CsW3Cl7, a crystal structure in the Materials Project, relaxed with PBE gives the computed PXRD pattern in this record (Cu Kα, 1.54184 Å).

Principal peaks in the range 2θ = 10–90°, in order of rising 2θ:
two_theta	Rel. int.
11.57	100
15.35	25
17.33	11
37.06	16
42.59	15
48.22	11

Structural model:
```
CsW3Cl7
1.0
10.2346 0.0000 0.0000
-5.1173 8.8634 0.0000
0.0000 0.0000 15.2076
Cs W Cl
4 12 28
Direct
0.0000 0.0000 0.0000 Cs
0.0000 0.0000 0.5000 Cs
0.3333 0.6667 0.2149 Cs
0.6667 0.3333 0.7149 Cs
0.1794 0.6560 0.6464 W
0.1886 0.5131 0.7877 W
0.3245 0.8114 0.7877 W
0.3440 0.5234 0.6464 W
0.4766 0.8206 0.6464 W
0.4869 0.6755 0.7877 W
0.5131 0.1886 0.2877 W
0.5234 0.3440 0.1464 W
0.6560 0.1794 0.1464 W
0.6755 0.4869 0.2877 W
0.8114 0.3245 0.2877 W
0.8206 0.4766 0.1464 W
0.0124 0.3230 0.3734 Cl
0.0324 0.6674 0.0602 Cl
0.0418 0.6512 0.7864 Cl
0.0606 0.3716 0.6474 Cl
0.3110 0.9394 0.6474 Cl
0.3106 0.9876 0.3734 Cl
0.3230 0.0124 0.8734 Cl
0.3326 0.3649 0.0602 Cl
0.3333 0.6667 0.5146 Cl
0.3333 0.6667 0.9187 Cl
0.3488 0.3906 0.7864 Cl
0.3649 0.3326 0.5602 Cl
0.3716 0.0606 0.1474 Cl
0.3906 0.3488 0.2864 Cl
0.6094 0.9582 0.7864 Cl
0.6284 0.6890 0.6474 Cl
0.6351 0.9676 0.0602 Cl
0.6512 0.0418 0.2864 Cl
0.6674 0.0324 0.5602 Cl
0.6667 0.3333 0.0146 Cl
0.6667 0.3333 0.4187 Cl
0.6770 0.6894 0.3734 Cl
0.6890 0.6284 0.1474 Cl
0.6894 0.6770 0.8734 Cl
0.9394 0.3110 0.1474 Cl
0.9582 0.6094 0.2864 Cl
0.9676 0.6351 0.5602 Cl
0.9876 0.3106 0.8734 Cl
```

Entry 5:
For Cs3YCl6, a crystal structure in the Materials Project, relaxed with PBE gives the computed PXRD pattern in this record (Cu Kα, 1.54184 Å).

Principal peaks in the range 2θ = 10–90°, in order of rising 2θ:
two_theta	Rel. int.
21.18	100
30.13	57
37.12	44
43.13	38
48.52	25
58.18	28

Structural model:
```
Cs3YCl6
1.0
0.0000 5.9329 5.9329
5.9329 0.0000 5.9329
5.9329 5.9329 0.0000
Cs Y Cl
3 1 6
Direct
0.0000 0.0000 0.0000 Cs
0.2500 0.2500 0.2500 Cs
0.7500 0.7500 0.7500 Cs
0.5000 0.5000 0.5000 Y
0.2770 0.2770 0.7230 Cl
0.2770 0.7230 0.2770 Cl
0.2770 0.7230 0.7230 Cl
0.7230 0.2770 0.2770 Cl
0.7230 0.2770 0.7230 Cl
0.7230 0.7230 0.2770 Cl
```

Entry 6:
For Cs3ZnCl5, a crystal structure in the Materials Project, relaxed with PBE gives the computed PXRD pattern in this record (Cu Kα, 1.54184 Å).

Principal peaks in the range 2θ = 10–90°, in order of rising 2θ:
two_theta	Rel. int.
21.96	34
22.40	73
24.11	30
26.79	28
27.89	100
30.02	42

Structural model:
```
Cs3ZnCl5
1.0
-4.7066 4.7066 7.3815
4.7066 -4.7066 7.3815
4.7066 4.7066 -7.3815
Cs Zn Cl
6 2 10
Direct
0.1659 0.6659 0.8317 Cs
0.2500 0.2500 0.0000 Cs
0.3341 0.1659 0.5000 Cs
0.6659 0.8341 0.5000 Cs
0.7500 0.7500 0.0000 Cs
0.8341 0.3341 0.1683 Cs
0.2500 0.7500 0.5000 Zn
0.7500 0.2500 0.5000 Zn
0.0000 0.0000 0.0000 Cl
0.0194 0.7963 0.5000 Cl
0.2037 0.7037 0.2232 Cl
0.2963 0.5194 0.5000 Cl
0.4806 0.9806 0.7768 Cl
0.5000 0.5000 0.0000 Cl
0.5194 0.0194 0.2232 Cl
0.7037 0.4806 0.5000 Cl
0.7963 0.2963 0.7768 Cl
0.9806 0.2037 0.5000 Cl
```

Entry 7:
For Cu3Cl, a crystal structure in the Materials Project, relaxed with PBE gives the computed PXRD pattern in this record (Cu Kα, 1.54184 Å).

Principal peaks in the range 2θ = 10–90°, in order of rising 2θ:
two_theta	Rel. int.
23.11	6
40.59	100
47.22	47
69.01	27
83.24	32
87.86	9

Structural model:
```
Cu3Cl
1.0
3.8494 0.0000 0.0000
0.0000 3.8494 0.0000
0.0000 0.0000 3.8494
Cu Cl
3 1
Direct
0.0000 0.0000 0.5000 Cu
0.0000 0.5000 0.0000 Cu
0.5000 0.0000 0.0000 Cu
0.5000 0.5000 0.5000 Cl
```

Entry 8:
For CuCl3, a crystal structure in the Materials Project, relaxed with PBE gives the computed PXRD pattern in this record (Cu Kα, 1.54184 Å).

Principal peaks in the range 2θ = 10–90°, in order of rising 2θ:
two_theta	Rel. int.
14.68	51
15.71	100
20.07	39
21.93	50
24.74	48
45.53	46

Structural model:
```
CuCl3
1.0
6.8019 -10.0968 0.0000
6.8019 10.0968 0.0000
0.0000 0.0000 3.5992
Cu Cl
4 12
Direct
0.1862 0.8138 0.0000 Cu
0.2847 0.2847 0.0000 Cu
0.7153 0.7153 0.0000 Cu
0.8138 0.1862 0.0000 Cu
0.1171 0.6216 0.0000 Cl
0.1189 0.8811 0.5000 Cl
0.1817 0.1817 0.5000 Cl
0.2871 0.4632 0.0000 Cl
0.3784 0.8829 0.0000 Cl
0.4632 0.2871 0.0000 Cl
0.5368 0.7129 0.0000 Cl
0.6216 0.1171 0.0000 Cl
0.7129 0.5368 0.0000 Cl
0.8183 0.8183 0.5000 Cl
0.8811 0.1189 0.5000 Cl
0.8829 0.3784 0.0000 Cl
```

Entry 9:
For Rb2DyCuCl6, a crystal structure in the Materials Project, relaxed with PBE gives the computed PXRD pattern in this record (Cu Kα, 1.54184 Å).

Principal peaks in the range 2θ = 10–90°, in order of rising 2θ:
two_theta	Rel. int.
24.18	100
34.46	71
42.54	46
49.53	47
55.85	21
67.30	24

Structural model:
```
Rb2DyCuCl6
1.0
0.0000 5.2056 5.2056
5.2056 0.0000 5.2056
5.2056 5.2056 0.0000
Rb Dy Cu Cl
2 1 1 6
Direct
0.2500 0.2500 0.2500 Rb
0.7500 0.7500 0.7500 Rb
0.0000 0.0000 0.0000 Dy
0.5000 0.5000 0.5000 Cu
0.2535 0.2535 0.7465 Cl
0.2535 0.7465 0.2535 Cl
0.2535 0.7465 0.7465 Cl
0.7465 0.2535 0.2535 Cl
0.7465 0.2535 0.7465 Cl
0.7465 0.7465 0.2535 Cl
```

Entry 10:
For K2ErCuCl6, a crystal structure in the Materials Project, relaxed with PBE gives the computed PXRD pattern in this record (Cu Kα, 1.54184 Å).

Principal peaks in the range 2θ = 10–90°, in order of rising 2θ:
two_theta	Rel. int.
17.21	99
24.43	100
34.83	95
39.09	50
43.00	45
50.08	62

Structural model:
```
K2ErCuCl6
1.0
0.0000 5.1522 5.1522
5.1522 0.0000 5.1522
5.1522 5.1522 0.0000
K Er Cu Cl
2 1 1 6
Direct
0.2500 0.2500 0.2500 K
0.7500 0.7500 0.7500 K
0.0000 0.0000 0.0000 Er
0.5000 0.5000 0.5000 Cu
0.2531 0.2531 0.7469 Cl
0.2531 0.7469 0.2531 Cl
0.2531 0.7469 0.7469 Cl
0.7469 0.2531 0.2531 Cl
0.7469 0.2531 0.7469 Cl
0.7469 0.7469 0.2531 Cl
```

Entry 11:
For Na2ErCuCl6, a crystal structure in the Materials Project, relaxed with PBE gives the computed PXRD pattern in this record (Cu Kα, 1.54184 Å).

Principal peaks in the range 2θ = 10–90°, in order of rising 2θ:
two_theta	Rel. int.
17.37	100
24.66	55
35.15	62
39.47	48
43.41	26
50.56	41

Structural model:
```
Na2ErCuCl6
1.0
0.0000 5.1056 5.1056
5.1056 0.0000 5.1056
5.1056 5.1056 0.0000
Na Er Cu Cl
2 1 1 6
Direct
0.2500 0.2500 0.2500 Na
0.7500 0.7500 0.7500 Na
0.0000 0.0000 0.0000 Er
0.5000 0.5000 0.5000 Cu
0.2541 0.2541 0.7459 Cl
0.2541 0.7459 0.2541 Cl
0.2541 0.7459 0.7459 Cl
0.7459 0.2541 0.2541 Cl
0.7459 0.2541 0.7459 Cl
0.7459 0.7459 0.2541 Cl
```